Diffraction record for Tl3HgSe. The X-ray diffraction stick pattern is simulated, not measured: it uses a GGA-PBE-relaxed structure and CuKα.

Largest 8 diffraction maxima, most intense first, 2θ from 10° to 90°:
2θ (°), I (rel.)
29.72, 100
30.04, 94
27.94, 89
33.60, 60
39.56, 35
44.25, 30
38.07, 28
35.50, 26

Structural model:
Cell: 4.176 8.036 9.532 Å, 86.38 82.34 83.24°
Sites, in units of the cell vectors:
1 Tl 0.063 0.378 0.158
2 Tl 0.243 0.025 0.811
3 Tl 0.360 0.629 0.373
4 Tl 0.640 0.371 0.627
5 Tl 0.757 0.975 0.189
6 Tl 0.937 0.622 0.842
7 Hg 0.221 0.145 0.452
8 Hg 0.779 0.855 0.548
9 Se 0.352 0.745 0.056
10 Se 0.648 0.255 0.944